Structure and computed powder XRD pattern of CdCo2O4 (a crystal structure in the Materials Project, relaxed with PBE+U; CuKα).

Cell and atoms:
Cell lengths 5.067, 5.909, 11.011 Å; angles 89.08, 89.92, 89.29 degrees
Atoms (fractional coordinates):
Cd: 0.000 0.000 0.000
Cd: 0.053 0.483 0.501
Cd: 0.382 0.493 0.000
Cd: 0.671 0.988 0.500
Co: 0.017 0.495 0.762
Co: 0.018 0.490 0.240
Co: 0.033 0.989 0.739
Co: 0.034 0.989 0.261
Co: 0.524 0.241 0.246
Co: 0.525 0.241 0.750
Co: 0.525 0.741 0.750
Co: 0.528 0.741 0.256
O: 0.178 0.745 0.156
O: 0.188 0.259 0.856
O: 0.192 0.762 0.853
O: 0.202 0.242 0.138
O: 0.339 0.494 0.664
O: 0.340 0.486 0.337
O: 0.357 0.992 0.347
O: 0.357 0.996 0.653
O: 0.693 0.485 0.847
O: 0.694 0.498 0.153
O: 0.712 0.991 0.835
O: 0.712 0.993 0.164
O: 0.847 0.739 0.365
O: 0.860 0.222 0.640
O: 0.861 0.719 0.650
O: 0.874 0.244 0.344

The 12 most intense peaks (2θ from 15° to 90°), by intensity:
2θ (°)  d [Å]  intensity
32.53  2.752  100.0
48.87  1.864  83.7
35.40  2.535  66.3
24.47  3.638  50.2
24.29  3.664  49.3
30.26  2.954  46.5
24.73  3.600  46.3
24.58  3.622  45.3
62.92  1.477  33.0
34.97  2.566  32.8
34.69  2.586  32.1
48.45  1.879  31.5

=====

Structure and computed powder XRD pattern of CdCo2O4 (a crystal structure in the Materials Project, relaxed with PBE+U; CuKα).

Cell and atoms:
Cell lengths 5.982, 5.982, 5.982 Å; angles 60.00, 60.00, 60.00 degrees
Atoms (fractional coordinates):
Cd: 0.125 0.125 0.125
Cd: 0.875 0.875 0.875
Co: 0.000 0.500 0.500
Co: 0.500 0.000 0.500
Co: 0.500 0.500 0.000
Co: 0.500 0.500 0.500
O: 0.271 0.271 0.271
O: 0.271 0.271 0.687
O: 0.271 0.687 0.271
O: 0.313 0.729 0.729
O: 0.687 0.271 0.271
O: 0.729 0.313 0.729
O: 0.729 0.729 0.313
O: 0.729 0.729 0.729

The 12 most intense peaks (2θ from 15° to 90°), by intensity:
2θ (°)  d [Å]  intensity
35.18  2.551  100.0
29.87  2.991  57.8
56.52  1.628  39.7
62.06  1.496  35.6
53.03  1.727  19.1
88.84  1.101  18.2
73.39  1.290  11.4
85.99  1.131  11.3
70.38  1.338  7.1
36.80  2.442  6.5
74.38  1.275  4.1
46.81  1.941  3.1

=====

Structure and computed powder XRD pattern of CdCo2O4 (a crystal structure in the Materials Project, relaxed with PBE+U; CuKα).

Cell and atoms:
Cell lengths 5.115, 10.997, 5.955 Å; angles 90.00, 90.07, 90.00 degrees
Atoms (fractional coordinates):
Cd: 0.025 0.250 0.244
Cd: 0.353 0.750 0.254
Cd: 0.647 0.250 0.746
Cd: 0.975 0.750 0.756
Co: 0.011 0.015 0.750
Co: 0.011 0.485 0.750
Co: 0.500 0.000 0.000
Co: 0.500 0.000 0.500
Co: 0.500 0.500 0.000
Co: 0.500 0.500 0.500
Co: 0.989 0.515 0.250
Co: 0.989 0.985 0.250
O: 0.165 0.604 0.999
O: 0.165 0.896 0.999
O: 0.166 0.604 0.505
O: 0.166 0.896 0.505
O: 0.323 0.088 0.249
O: 0.323 0.412 0.249
O: 0.337 0.099 0.750
O: 0.337 0.401 0.750
O: 0.663 0.599 0.250
O: 0.663 0.901 0.250
O: 0.677 0.588 0.751
O: 0.677 0.912 0.751
O: 0.834 0.104 0.495
O: 0.834 0.396 0.495
O: 0.835 0.104 0.001
O: 0.835 0.396 0.001

The 12 most intense peaks (2θ from 15° to 90°), by intensity:
2θ (°)  d [Å]  intensity
24.32  3.659  100.0
33.63  2.665  65.7
48.45  1.879  53.2
32.57  2.749  51.8
34.25  2.618  33.7
62.80  1.480  33.6
34.86  2.573  33.3
38.63  2.331  32.1
48.62  1.873  32.1
30.01  2.978  31.7
28.15  3.170  29.7
42.94  2.106  23.0

=====

Structure and computed powder XRD pattern of Cr6CdCu2O12 (a crystal structure in the Materials Project, relaxed with PBE+U; CuKα).

Cell and atoms:
Cell lengths 13.384, 13.384, 13.384 Å; angles 153.61, 153.61, 37.67 degrees
Atoms (fractional coordinates):
Cr: 0.042 0.792 0.250
Cr: 0.207 0.460 0.747
Cr: 0.208 0.457 0.250
Cr: 0.208 0.958 0.750
Cr: 0.370 0.123 0.247
Cr: 0.540 0.286 0.747
Cr: 0.540 0.793 0.253
Cr: 0.543 0.792 0.750
Cr: 0.714 0.460 0.253
Cr: 0.876 0.123 0.753
Cr: 0.877 0.124 0.247
Cr: 0.877 0.630 0.753
Cd: 0.335 0.335 0.000
Cd: 0.665 0.665 0.000
Cu: 0.000 0.000 0.000
Cu: 0.082 0.582 0.500
Cu: 0.418 0.918 0.500
Cu: 0.750 0.250 0.500
O: 0.000 0.713 0.287
O: 0.092 0.383 0.709
O: 0.095 0.873 0.222
O: 0.127 0.348 0.222
O: 0.127 0.905 0.778
O: 0.287 0.000 0.713
O: 0.287 0.574 0.287
O: 0.320 0.042 0.277
O: 0.321 0.540 0.782
O: 0.426 0.713 0.713
O: 0.427 0.204 0.223
O: 0.460 0.242 0.782
O: 0.460 0.679 0.218
O: 0.617 0.327 0.709
O: 0.617 0.908 0.291
O: 0.652 0.873 0.778
O: 0.673 0.383 0.291
O: 0.758 0.540 0.218
O: 0.765 0.042 0.723
O: 0.796 0.020 0.223
O: 0.796 0.573 0.777
O: 0.958 0.235 0.277
O: 0.958 0.680 0.723
O: 0.980 0.204 0.777

The 12 most intense peaks (2θ from 15° to 90°), by intensity:
2θ (°)  d [Å]  intensity
34.49  2.600  100.0
35.10  2.557  51.0
29.58  3.020  46.7
61.40  1.510  39.0
55.28  1.662  33.9
29.23  3.056  24.7
60.61  1.528  20.4
52.04  1.757  16.8
56.53  1.628  14.6
72.00  1.312  11.0
86.88  1.121  8.7
72.73  1.300  8.1

=====

Structure and computed powder XRD pattern of Cr6CdCu2O12 (a crystal structure in the Materials Project, relaxed with PBE+U; CuKα).

Cell and atoms:
Cell lengths 10.537, 10.537, 6.115 Å; angles 106.86, 106.86, 47.19 degrees
Atoms (fractional coordinates):
Cr: 0.000 0.000 0.247
Cr: 0.000 0.000 0.753
Cr: 0.005 0.496 0.749
Cr: 0.176 0.661 0.919
Cr: 0.339 0.824 0.081
Cr: 0.342 0.328 0.084
Cr: 0.343 0.329 0.587
Cr: 0.504 0.995 0.251
Cr: 0.668 0.168 0.416
Cr: 0.671 0.657 0.413
Cr: 0.672 0.658 0.916
Cr: 0.832 0.332 0.584
Cd: 0.295 0.037 0.666
Cd: 0.963 0.705 0.334
Cu: 0.044 0.288 0.166
Cu: 0.381 0.619 0.500
Cu: 0.630 0.370 0.000
Cu: 0.712 0.956 0.834
O: 0.055 0.085 0.572
O: 0.088 0.060 0.072
O: 0.105 0.562 0.045
O: 0.107 0.564 0.624
O: 0.243 0.756 0.777
O: 0.244 0.757 0.223
O: 0.255 0.273 0.762
O: 0.273 0.249 0.262
O: 0.407 0.412 0.911
O: 0.420 0.396 0.406
O: 0.436 0.893 0.376
O: 0.438 0.895 0.955
O: 0.581 0.086 0.114
O: 0.582 0.087 0.554
O: 0.588 0.593 0.089
O: 0.604 0.580 0.594
O: 0.727 0.745 0.238
O: 0.751 0.727 0.738
O: 0.759 0.240 0.723
O: 0.760 0.241 0.277
O: 0.913 0.418 0.446
O: 0.914 0.419 0.886
O: 0.915 0.945 0.428
O: 0.940 0.912 0.928

The 12 most intense peaks (2θ from 15° to 90°), by intensity:
2θ (°)  d [Å]  intensity
34.50  2.600  100.0
35.13  2.554  51.4
29.60  3.018  46.9
61.44  1.509  39.5
55.28  1.662  33.9
29.23  3.055  24.7
60.61  1.528  20.4
52.06  1.757  16.9
56.59  1.626  14.9
72.03  1.311  11.0
55.72  1.650  8.1
36.31  2.474  8.0

=====

Structure and computed powder XRD pattern of Cr3CdF6 (a crystal structure in the Materials Project, relaxed with PBE+U; CuKα).

Cell and atoms:
Cell lengths 6.379, 6.912, 15.360 Å; angles 83.97, 82.81, 68.94 degrees
Atoms (fractional coordinates):
Cr: 0.000 0.000 0.000
Cr: 0.000 0.500 0.500
Cr: 0.500 0.000 0.000
Cd: 0.000 0.500 0.000
F: 0.027 0.780 0.923
F: 0.084 0.449 0.612
F: 0.335 0.286 0.954
F: 0.665 0.714 0.046
F: 0.916 0.551 0.388
F: 0.973 0.220 0.077

The 12 most intense peaks (2θ from 15° to 90°), by intensity:
2θ (°)  d [Å]  intensity
16.40  5.407  100.0
17.49  5.070  98.7
18.76  4.731  77.5
26.70  3.339  65.7
30.16  2.963  59.5
18.09  4.903  53.9
23.40  3.802  49.2
33.50  2.675  47.3
27.69  3.221  44.6
19.84  4.475  38.9
35.38  2.537  38.8
31.33  2.855  32.4

=====

Structure and computed powder XRD pattern of LiCrCdF6 (a crystal structure in the Materials Project, relaxed with PBE+U; CuKα).

Cell and atoms:
Cell lengths 5.212, 5.212, 9.711 Å; angles 90.00, 90.00, 120.00 degrees
Atoms (fractional coordinates):
Li: 0.333 0.667 0.250
Li: 0.667 0.333 0.750
Cr: 0.333 0.667 0.750
Cr: 0.667 0.333 0.250
Cd: 0.000 0.000 0.000
Cd: 0.000 0.000 0.500
F: 0.016 0.362 0.862
F: 0.016 0.654 0.638
F: 0.346 0.362 0.638
F: 0.346 0.984 0.862
F: 0.362 0.016 0.362
F: 0.362 0.346 0.138
F: 0.638 0.654 0.862
F: 0.638 0.984 0.638
F: 0.654 0.016 0.138
F: 0.654 0.638 0.362
F: 0.984 0.346 0.362
F: 0.984 0.638 0.138

The 12 most intense peaks (2θ from 15° to 90°), by intensity:
2θ (°)  d [Å]  intensity
26.97  3.306  100.0
51.44  1.776  37.5
19.67  4.514  28.2
44.26  2.047  23.7
39.23  2.296  23.3
57.23  1.610  22.3
21.71  4.093  18.7
34.41  2.606  16.4
61.64  1.505  14.8
42.27  2.138  12.0
78.98  1.212  8.7
39.95  2.257  8.6

=====

Structure and computed powder XRD pattern of K2MgCr2CdH4O10 (a crystal structure in the Materials Project, relaxed with PBE+U; CuKα).

Cell and atoms:
Cell lengths 6.084, 6.203, 7.929 Å; angles 103.77, 96.03, 108.38 degrees
Atoms (fractional coordinates):
K: 0.000 0.000 0.000
K: 0.366 0.698 0.644
Mg: 0.982 0.433 0.300
Cr: 0.014 0.025 0.563
Cr: 0.326 0.658 0.056
Cd: 0.682 0.335 0.810
H: 0.520 0.079 0.144
H: 0.534 0.282 0.443
H: 0.617 0.404 0.125
H: 0.744 0.546 0.507
O: 0.013 0.199 0.424
O: 0.090 0.600 0.897
O: 0.266 0.106 0.715
O: 0.270 0.486 0.199
O: 0.393 0.959 0.184
O: 0.568 0.640 0.968
O: 0.615 0.423 0.544
O: 0.705 0.295 0.102
O: 0.789 0.029 0.682
O: 0.953 0.719 0.453

The 12 most intense peaks (2θ from 15° to 90°), by intensity:
2θ (°)  d [Å]  intensity
25.93  3.436  100.0
30.02  2.977  73.9
29.92  2.987  66.4
25.67  3.470  65.2
28.50  3.131  61.6
21.37  4.158  58.6
24.31  3.661  55.3
34.55  2.596  52.5
16.70  5.308  50.5
22.22  4.001  42.4
38.79  2.321  36.9
45.34  2.000  34.6